The following is a calculated XRD peak list of TlNiF3. It was derived from a DFT-relaxed cell (GGA+U, Alexandria), using Cu Kα, 1.54184 Å.
Lines closer than 0.1° are merged.

Atomic structure:
```
data_TlNiF3
_chemical_formula_sum 'Tl4 Ni4 F12'
_cell_length_a 5.779
_cell_length_b 14.978
_cell_length_c 5.200
_cell_angle_alpha 90.00
_cell_angle_beta 90.00
_cell_angle_gamma 90.00
_space_group_name_H-M_alt 'C m c m'
_space_group_IT_number 63
_space_group_name_Hall '-C 2c 2'
loop_
_atom_site_label
_atom_site_fract_x
_atom_site_fract_y
_atom_site_fract_z
Tl1 0.000 0.171 0.250
Ni1 0.000 0.406 0.250
F1 0.000 0.500 0.000
F2 0.237 0.318 0.250
```

Top 10 peaks for 10 to 90 degrees two-theta, by angle:
| two_theta | I_rel | hkl |
| --- | --- | --- |
| 11.82 | 20 | 0 2 0 |
| 23.55 | 43 | 1 3 0 |
| 23.77 | 100 | 1 1 1 |
| 29.39 | 21 | 0 4 1 |
| 30.95 | 16 | 2 0 0 |
| 34.49 | 16 | 0 0 2 |
| 38.00 | 13 | 1 5 1 |
| 42.19 | 12 | 1 3 2 |
| 43.21 | 30 | 2 4 1 |
| 48.99 | 12 | 1 5 2 |